1.
Theoretical X-ray powder pattern of In2Hg4SbBr5 for Cu Kα, 1.54184 Å, from a DFT-relaxed cell (GGA-PBE, Alexandria).
Lines closer than 0.1° are merged.

Structural model:
```
data_In2Hg4SbBr5
_cell_length_a 9.449
_cell_length_b 14.087
_cell_length_c 6.491
_cell_angle_alpha 90.00
_cell_angle_beta 90.00
_cell_angle_gamma 90.00
_symmetry_space_group_name_H-M 'A m m 2'
_symmetry_Int_Tables_number 38
_symmetry_space_group_name_Hall 'A 2 -2'
loop_
_atom_site_label
_atom_site_fract_x
_atom_site_fract_y
_atom_site_fract_z
_atom_site_occupancy
In1 0.000 0.189 0.000 1
Hg1 0.303 0.000 0.416 1
Hg2 0.500 0.207 0.150 1
Sb1 0.500 0.000 0.107 1
Br1 0.000 0.000 0.245 1
Br2 0.250 0.144 0.704 1
```

Most intense lines, 2θ = 10–90°, most intense first:
d_spacing  2θ (°)  I_rel
3.687  24.1  100
3.804  23.4  61
2.267  39.8  47
2.130  42.4  44
3.923  22.7  41
2.963  30.2  39
2.814  31.8  38
5.895  15.0  29
2.362  38.1  29
2.584  34.7  28



2.
Theoretical X-ray powder pattern of Sm3ErIn for Cu Kα, 1.54184 Å, from a DFT-relaxed cell (GGA-PBE, Alexandria).
Lines closer than 0.1° are merged.

Structural model:
```
data_Sm3ErIn
_cell_length_a 4.879
_cell_length_b 25.353
_cell_length_c 4.882
_cell_angle_alpha 90.00
_cell_angle_beta 90.00
_cell_angle_gamma 90.00
_symmetry_space_group_name_H-M 'C m c m'
_symmetry_Int_Tables_number 63
_symmetry_space_group_name_Hall '-C 2c 2'
loop_
_atom_site_label
_atom_site_fract_x
_atom_site_fract_y
_atom_site_fract_z
_atom_site_occupancy
Sm1 0.000 0.053 0.250 1
Sm2 0.000 0.249 0.250 1
Sm3 0.000 0.447 0.250 1
Er1 0.000 0.151 0.750 1
In1 0.000 0.347 0.750 1
```

Most intense lines, 2θ = 10–90°, most intense first:
d_spacing  2θ (°)  I_rel
2.853  31.4  100
2.440  36.8  33
1.476  63.0  27
1.758  52.0  24
2.535  35.4  18
1.518  61.0  14
1.426  65.4  12
1.140  85.1  11
1.725  53.1  11
1.122  86.8  6



3.
Theoretical X-ray powder pattern of Sm2Dy5Ho for Cu Kα, 1.54184 Å, from a DFT-relaxed cell (GGA-PBE, Alexandria).
Lines closer than 0.1° are merged.

Structural model:
```
data_Sm2Dy5Ho
_cell_length_a 6.174
_cell_length_b 9.400
_cell_length_c 9.421
_cell_angle_alpha 81.78
_cell_angle_beta 70.92
_cell_angle_gamma 83.59
_symmetry_space_group_name_H-M 'P -1'
_symmetry_Int_Tables_number 2
_symmetry_space_group_name_Hall '-P 1'
loop_
_atom_site_label
_atom_site_fract_x
_atom_site_fract_y
_atom_site_fract_z
_atom_site_occupancy
Sm1 0.249 0.031 0.156 1
Sm2 0.249 0.282 0.407 1
Dy1 0.250 0.531 0.657 1
Dy2 0.250 0.780 0.906 1
Dy3 0.251 0.406 0.031 1
Dy4 0.251 0.656 0.281 1
Dy5 0.251 0.906 0.532 1
Ho1 0.250 0.157 0.781 1
```

Most intense lines, 2θ = 10–90°, most intense first:
d_spacing  2θ (°)  I_rel
2.906  30.8  100
2.519  35.6  34
1.780  51.3  24
1.519  61.0  18
1.517  61.1  18
2.512  35.7  17
1.515  61.2  7
1.126  86.4  7
1.454  64.0  6
1.452  64.1  6



4.
Theoretical X-ray powder pattern of NdDyErSc for Cu Kα, 1.54184 Å, from a DFT-relaxed cell (GGA-PBE, Alexandria).
Lines closer than 0.1° are merged.

Structural model:
```
data_NdDyErSc
_cell_length_a 3.5207
_cell_length_b 3.5207
_cell_length_c 33.9431
_cell_angle_alpha 90.00
_cell_angle_beta 90.00
_cell_angle_gamma 120.00
_symmetry_space_group_name_H-M 'R 3 m'
_symmetry_Int_Tables_number 160
_symmetry_space_group_name_Hall 'R 3 -2"'
loop_
_atom_site_label
_atom_site_fract_x
_atom_site_fract_y
_atom_site_fract_z
_atom_site_occupancy
Nd1 0.0000 0.0000 0.0000 1
Dy1 0.0000 0.0000 0.7552 1
Er1 0.0000 0.0000 0.1722 1
Sc1 0.0000 0.0000 0.5846 1
```

Most intense lines, 2θ = 10–90°, most intense first:
d_spacing  2θ (°)  I_rel
2.781  32.2  100
2.581  34.8  64
2.829  31.6  46
1.495  62.1  40
1.760  51.9  35
2.869  31.2  31
1.670  55.0  25
3.037  29.4  24
3.001  29.8  22
2.268  39.7  19



5.
Theoretical X-ray powder pattern of MnZn2Au5 for Cu Kα, 1.54184 Å, from a DFT-relaxed cell (GGA-PBE, Alexandria).
Lines closer than 0.1° are merged.

Structural model:
```
data_MnZn2Au5
_cell_length_a 5.757
_cell_length_b 11.434
_cell_length_c 4.087
_cell_angle_alpha 90.00
_cell_angle_beta 90.00
_cell_angle_gamma 90.00
_symmetry_space_group_name_H-M 'P b a m'
_symmetry_Int_Tables_number 55
_symmetry_space_group_name_Hall '-P 2 2ab'
loop_
_atom_site_label
_atom_site_fract_x
_atom_site_fract_y
_atom_site_fract_z
_atom_site_occupancy
Mn1 0.000 0.000 0.000 1
Zn1 0.223 0.370 0.500 1
Au1 0.000 0.500 0.000 1
Au2 0.034 0.756 0.000 1
Au3 0.216 0.114 0.500 1
```

Most intense lines, 2θ = 10–90°, most intense first:
d_spacing  2θ (°)  I_rel
2.342  38.4  100
2.353  38.2  92
2.028  44.7  57
1.439  64.8  44
2.044  44.3  35
1.222  78.3  20
2.879  31.1  17
4.056  21.9  16
1.171  82.4  15
1.226  77.9  14



6.
Theoretical X-ray powder pattern of SiAg4Ge2 for Cu Kα, 1.54184 Å, from a DFT-relaxed cell (GGA-PBE, Alexandria).
Lines closer than 0.1° are merged.

Structural model:
```
data_SiAg4Ge2
_cell_length_a 5.150
_cell_length_b 5.150
_cell_length_c 12.317
_cell_angle_alpha 90.00
_cell_angle_beta 90.00
_cell_angle_gamma 90.00
_symmetry_space_group_name_H-M 'I 4/m m m'
_symmetry_Int_Tables_number 139
_symmetry_space_group_name_Hall '-I 4 2'
loop_
_atom_site_label
_atom_site_fract_x
_atom_site_fract_y
_atom_site_fract_z
_atom_site_occupancy
Si1 0.000 0.000 0.000 1
Ag1 0.000 0.000 0.197 1
Ag2 0.000 0.500 0.000 1
Ge1 0.000 0.000 0.401 1
```

Most intense lines, 2θ = 10–90°, most intense first:
d_spacing  2θ (°)  I_rel
2.575  34.8  100
3.135  28.5  91
2.222  40.6  53
1.682  54.5  43
1.821  50.1  34
2.351  38.3  27
1.575  58.6  22
3.642  24.4  21
6.159  14.4  18
1.236  77.2  15



7.
Theoretical X-ray powder pattern of CuAgRh for Cu Kα, 1.54184 Å, from a DFT-relaxed cell (GGA-PBE, Alexandria).
Lines closer than 0.1° are merged.

Structural model:
```
data_CuAgRh
_cell_length_a 2.781
_cell_length_b 2.781
_cell_length_c 11.449
_cell_angle_alpha 90.00
_cell_angle_beta 90.00
_cell_angle_gamma 90.00
_symmetry_space_group_name_H-M 'P 4/n m m'
_symmetry_Int_Tables_number 129
loop_
_symmetry_equiv_pos_as_xyz
'x,y,z'
'-x,-y,-z'
'-y+1/2,x,z'
'y+1/2,-x,-z'
'-x+1/2,-y+1/2,z'
'x+1/2,y+1/2,-z'
'y,-x+1/2,z'
'-y,x+1/2,-z'
'x+1/2,-y,-z'
'-x+1/2,y,z'
'-y,-x,-z'
'y,x,z'
'-x,y+1/2,-z'
'x,-y+1/2,z'
'y+1/2,x+1/2,-z'
'-y+1/2,-x+1/2,z'
loop_
_atom_site_label
_atom_site_fract_x
_atom_site_fract_y
_atom_site_fract_z
_atom_site_occupancy
Cu1 0.250 0.250 0.234 1
Ag1 0.250 0.250 0.598 1
Rh1 0.250 0.250 0.922 1
```

Most intense lines, 2θ = 10–90°, most intense first:
d_spacing  2θ (°)  I_rel
2.247  40.1  100
1.966  46.2  35
1.182  81.4  23
1.369  68.5  16
1.908  47.7  13
1.390  67.3  11
1.124  86.6  9
1.157  83.6  7
2.702  33.2  4
5.724  15.5  3



8.
Theoretical X-ray powder pattern of Ca2AlH10ClO8 for Cu Kα, 1.54184 Å, from a DFT-relaxed cell (GGA-PBE, Alexandria).
Lines closer than 0.1° are merged.

Structural model:
```
data_Ca2AlH10ClO8
_cell_length_a 10.139
_cell_length_b 5.706
_cell_length_c 16.294
_cell_angle_alpha 90.00
_cell_angle_beta 96.72
_cell_angle_gamma 90.00
_symmetry_space_group_name_H-M 'C 1 2/c 1'
_symmetry_Int_Tables_number 15
_symmetry_space_group_name_Hall '-C 2yc'
loop_
_atom_site_label
_atom_site_fract_x
_atom_site_fract_y
_atom_site_fract_z
_atom_site_occupancy
Ca1 0.090 0.249 0.037 1
Al1 0.250 0.250 0.500 1
H1 0.098 0.391 0.219 1
H2 0.100 0.113 0.219 1
H3 0.103 0.288 0.618 1
H4 0.126 0.005 0.384 1
H5 0.167 0.470 0.882 1
Cl1 0.000 0.250 0.750 1
O1 0.109 0.347 0.562 1
O2 0.113 0.069 0.437 1
O3 0.127 0.252 0.190 1
O4 0.211 0.466 0.938 1
```

Most intense lines, 2θ = 10–90°, most intense first:
d_spacing  2θ (°)  I_rel
8.091  10.9  100
2.899  30.8  24
4.046  22.0  20
2.333  38.6  17
2.272  39.7  17
3.763  23.6  16
4.066  21.9  14
2.143  42.2  13
1.776  51.4  12
2.853  31.4  11



9.
Theoretical X-ray powder pattern of PrNd2Dy2Y for Cu Kα, 1.54184 Å, from a DFT-relaxed cell (GGA-PBE, Alexandria).
Lines closer than 0.1° are merged.

Structural model:
```
data_PrNd2Dy2Y
_cell_length_a 7.015
_cell_length_b 16.600
_cell_length_c 3.530
_cell_angle_alpha 90.00
_cell_angle_beta 90.00
_cell_angle_gamma 90.00
_symmetry_space_group_name_H-M 'P n n m'
_symmetry_Int_Tables_number 58
_symmetry_space_group_name_Hall '-P 2 2n'
loop_
_atom_site_label
_atom_site_fract_x
_atom_site_fract_y
_atom_site_fract_z
_atom_site_occupancy
Pr1 0.000 0.000 0.000 1
Nd1 0.247 0.339 0.000 1
Dy1 0.248 0.154 0.500 1
Y1 0.000 0.500 0.500 1
```

Most intense lines, 2θ = 10–90°, most intense first:
d_spacing  2θ (°)  I_rel
2.976  30.0  100
2.460  36.5  55
2.679  33.5  46
3.231  27.6  40
2.767  32.4  38
1.717  53.4  30
1.511  61.4  26
2.269  39.7  18
3.508  25.4  16
1.474  63.1  15



10.
Theoretical X-ray powder pattern of Ce8Ga3Ge2 for Cu Kα, 1.54184 Å, from a DFT-relaxed cell (GGA-PBE, Alexandria).
Lines closer than 0.1° are merged.

Structural model:
```
data_Ce8Ga3Ge2
_cell_length_a 15.301
_cell_length_b 9.811
_cell_length_c 4.328
_cell_angle_alpha 90.00
_cell_angle_beta 102.02
_cell_angle_gamma 90.00
_symmetry_space_group_name_H-M 'C 1 2/m 1'
_symmetry_Int_Tables_number 12
_symmetry_space_group_name_Hall '-C 2y'
loop_
_atom_site_label
_atom_site_fract_x
_atom_site_fract_y
_atom_site_fract_z
_atom_site_occupancy
Ce1 0.066 0.000 0.267 1
Ce2 0.149 0.257 0.130 1
Ce3 0.151 0.500 0.569 1
Ga1 0.000 0.281 0.500 1
Ga2 0.000 0.500 0.000 1
Ge1 0.212 0.000 0.841 1
```

Most intense lines, 2θ = 10–90°, most intense first:
d_spacing  2θ (°)  I_rel
2.649  33.8  100
2.453  36.6  39
2.816  31.8  29
2.791  32.1  24
2.186  41.3  23
1.451  64.2  21
3.394  26.3  18
2.109  42.9  16
2.089  43.3  15
3.203  27.9  13



11.
Theoretical X-ray powder pattern of Cs4Pb3Br10 for Cu Kα, 1.54184 Å, from a DFT-relaxed cell (GGA-PBE, Alexandria).
Lines closer than 0.1° are merged.

Structural model:
```
data_Cs4Pb3Br10
_cell_length_a 5.995
_cell_length_b 5.995
_cell_length_c 42.037
_cell_angle_alpha 90.00
_cell_angle_beta 90.00
_cell_angle_gamma 90.00
_symmetry_space_group_name_H-M 'I 4/m m m'
_symmetry_Int_Tables_number 139
_symmetry_space_group_name_Hall '-I 4 2'
loop_
_atom_site_label
_atom_site_fract_x
_atom_site_fract_y
_atom_site_fract_z
_atom_site_occupancy
Cs1 0.000 0.000 0.068 1
Cs2 0.000 0.000 0.200 1
Pb1 0.000 0.000 0.356 1
Pb2 0.000 0.000 0.500 1
Br1 0.000 0.000 0.285 1
Br2 0.000 0.000 0.429 1
Br3 0.000 0.500 0.000 1
Br4 0.000 0.500 0.141 1
```

Most intense lines, 2θ = 10–90°, most intense first:
d_spacing  2θ (°)  I_rel
2.999  29.8  100
4.241  20.9  89
2.121  42.6  69
2.449  36.7  37
1.732  52.9  23
1.224  78.0  20
5.935  14.9  19
3.299  27.0  18
7.006  12.6  17
1.896  48.0  17



12.
Theoretical X-ray powder pattern of Dy3PuO8 for Cu Kα, 1.54184 Å, from a DFT-relaxed cell (GGA-PBE, Alexandria).
Lines closer than 0.1° are merged.

Structural model:
```
data_Dy3PuO8
_cell_length_a 5.928
_cell_length_b 10.506
_cell_length_c 6.751
_cell_angle_alpha 90.00
_cell_angle_beta 90.00
_cell_angle_gamma 90.00
_symmetry_space_group_name_H-M 'C 2 2 2'
_symmetry_Int_Tables_number 21
_symmetry_space_group_name_Hall 'C 2 2'
loop_
_atom_site_label
_atom_site_fract_x
_atom_site_fract_y
_atom_site_fract_z
_atom_site_occupancy
Dy1 0.000 0.000 0.000 1
Dy2 0.250 0.250 0.772 1
Pu1 0.000 0.000 0.500 1
O1 0.000 0.188 0.500 1
O2 0.000 0.211 0.000 1
O3 0.225 0.028 0.727 1
```

Most intense lines, 2θ = 10–90°, most intense first:
d_spacing  2θ (°)  I_rel
5.163  17.2  100
4.101  21.7  74
2.227  40.5  44
2.840  31.5  43
2.825  31.7  43
1.698  54.0  35
2.581  34.8  35
2.626  34.1  32
2.753  32.5  20
3.015  29.6  18